Computed X-ray powder pattern
Compound: Li7Ho3Mo8O32
Radiation: Cu Ka
Structure: DFT lattice parameters and positions (PBE+U)
Lines closer than 0.1° are merged.

Crystal structure
```
Li7Ho3Mo8O32
1.0
6.875 0.000 0.000
2.617 9.604 0.000
1.328 4.139 9.839
Li Ho Mo O
7 3 8 32
Direct
0.000 0.000 0.000 Li
0.002 0.366 0.862 Li
0.008 0.723 0.727 Li
0.500 0.503 0.000 Li
0.509 0.225 0.724 Li
0.511 0.869 0.863 Li
0.742 0.841 0.252 Li
0.236 0.906 0.420 Ho
0.278 0.319 0.301 Ho
0.733 0.410 0.422 Ho
0.124 0.090 0.660 Mo
0.157 0.507 0.540 Mo
0.363 0.719 0.178 Mo
0.384 0.134 0.064 Mo
0.616 0.593 0.663 Mo
0.658 0.006 0.542 Mo
0.853 0.220 0.181 Mo
0.888 0.636 0.066 Mo
0.047 0.627 0.928 O
0.056 0.260 0.498 O
0.097 0.157 0.272 O
0.123 0.923 0.631 O
0.132 0.170 0.008 O
0.179 0.773 0.294 O
0.188 0.350 0.700 O
0.196 0.666 0.568 O
0.310 0.562 0.154 O
0.318 0.880 0.020 O
0.356 0.441 0.432 O
0.373 0.059 0.715 O
0.395 0.297 0.097 O
0.415 0.071 0.447 O
0.445 0.961 0.219 O
0.455 0.590 0.804 O
0.545 0.771 0.516 O
0.547 0.131 0.925 O
0.604 0.652 0.267 O
0.606 0.432 0.624 O
0.637 0.670 0.007 O
0.653 0.286 0.290 O
0.696 0.167 0.567 O
0.701 0.853 0.704 O
0.801 0.068 0.157 O
0.814 0.378 0.023 O
0.864 0.958 0.438 O
0.866 0.559 0.720 O
0.901 0.802 0.088 O
0.920 0.556 0.460 O
0.956 0.459 0.226 O
0.960 0.093 0.798 O
```

Main lines, in order of rising 2θ (2θ = 10–90°):
2θ 23.2, rel. 16, (-1 1 2)
2θ 25.1, rel. 45, (0 2 -1)
2θ 28.2, rel. 100, (2 0 1)
2θ 29.6, rel. 18, (2 2 0)
2θ 29.8, rel. 42, (-1 1 3)
2θ 32.0, rel. 21, (0 2 -2)
2θ 33.5, rel. 14, (2 2 -1)
2θ 34.2, rel. 14, (-1 3 1)
2θ 45.8, rel. 15, (3 3 3)
2θ 46.9, rel. 14, (1 5 1)